Computed X-ray powder pattern
Compound: Mn3Ag5
Radiation: CuKα
Structure: a structure optimized by DFT (PBE)
Kinematic intensities with the Lorentz-polarization factor, no thermal factor.

```
16
Lattice="7.8730 0.0000 0.0000 -3.9365 6.8182 0.0000 0.0000 0.0000 5.2973" Properties=species:S:1:pos:R:3 pbc="T T T"
Mn -1.5924 2.7581 1.3243
Mn -2.3441 4.0601 3.9730
Mn 3.1848 0.0000 1.3243
Mn 1.5924 2.7581 3.9730
Mn 4.6882 0.0000 3.9730
Mn 2.3441 4.0601 1.3243
Ag -0.9096 1.5755 3.9730
Ag -3.0269 5.2427 1.3243
Ag 1.8192 0.0000 3.9730
Ag 0.9096 1.5755 1.3243
Ag 0.0000 4.5455 0.0000
Ag 0.0000 4.5455 2.6487
Ag 3.9365 2.2727 0.0000
Ag 3.9365 2.2727 2.6487
Ag 6.0538 0.0000 1.3243
Ag 3.0269 5.2427 3.9730
```

Largest 12 diffraction maxima, most intense first, 10 to 90 degrees two-theta:
2θ (°)  d_spacing  Rel. int.
38.9  2.317  100
41.1  2.198  60
34.8  2.577  46
36.4  2.469  28
39.7  2.273  27
63.9  1.457  21
58.4  1.580  17
65.1  1.433  16
62.4  1.488  16
79.0  1.212  15
26.1  3.409  10
33.8  2.649  10

Computed X-ray powder pattern
Compound: Sr11Tl9Au4
Radiation: CuKα
Structure: a structure optimized by DFT (PBE)
Kinematic intensities with the Lorentz-polarization factor, no thermal factor.

```
24
Lattice="7.9361 -11.9829 0.0000 7.9361 11.9829 0.0000 0.0000 0.0000 4.0611" Properties=species:S:1:pos:R:3 pbc="T T T"
Sr 0.0000 0.0000 0.0000
Sr 3.8985 4.0816 0.0000
Sr 7.9361 8.0247 0.0000
Sr 4.6281 0.0000 0.0000
Sr 7.9361 3.2398 0.0000
Sr 3.8985 -4.0816 0.0000
Sr 11.9736 4.0816 0.0000
Sr 7.9361 -3.2398 0.0000
Sr 11.2440 0.0000 0.0000
Sr 7.9361 -8.0247 0.0000
Sr 11.9736 -4.0816 0.0000
Tl 2.1645 1.8306 2.0306
Tl 6.2405 5.7511 2.0306
Tl 2.1645 -1.8306 2.0306
Tl 9.6316 5.7511 2.0306
Tl 7.9361 0.0000 2.0306
Tl 6.2405 -5.7511 2.0306
Tl 13.7076 1.8306 2.0306
Tl 9.6316 -5.7511 2.0306
Tl 13.7076 -1.8306 2.0306
Au 5.6084 2.3103 2.0306
Au 5.6084 -2.3103 2.0306
Au 10.2637 2.3103 2.0306
Au 10.2637 -2.3103 2.0306
```

Largest 12 diffraction maxima, most intense first, 10 to 90 degrees two-theta:
2θ (°)  d_spacing  Rel. int.
31.8  2.815  100
31.4  2.848  96
31.5  2.838  94
55.8  1.647  43
21.9  4.061  36
44.6  2.031  28
38.9  2.314  27
56.5  1.628  21
22.3  3.994  18
56.3  1.633  17
28.8  3.095  17
29.9  2.989  16

Computed X-ray powder pattern
Compound: NaUBr4
Radiation: CuKα
Structure: a structure optimized by DFT (PBE)
Kinematic intensities with the Lorentz-polarization factor, no thermal factor.

```
12
Lattice="13.8648 0.0000 0.0000 0.0000 4.3617 0.0000 -1.1214 0.0000 7.5887" Properties=species:S:1:pos:R:3 pbc="T T T"
Na 0.0000 0.0000 0.0000
Na 6.9324 2.1809 0.0000
U -0.5607 2.1809 3.7943
U 6.3717 0.0000 3.7943
Br 0.5591 2.1809 6.4326
Br 1.2291 0.0000 2.9057
Br 4.5819 2.1809 4.6829
Br 5.2519 0.0000 1.1561
Br 7.4914 0.0000 6.4326
Br 8.1615 2.1809 2.9057
Br 11.5142 0.0000 4.6829
Br 12.1843 2.1809 1.1561
```

Largest 12 diffraction maxima, most intense first, 10 to 90 degrees two-theta:
2θ (°)  d_spacing  Rel. int.
29.5  3.024  100
12.9  6.858  90
11.7  7.589  65
28.5  3.132  51
40.9  2.205  39
42.1  2.147  34
23.9  3.716  31
21.4  4.157  28
43.1  2.098  28
16.1  5.504  28
51.0  1.790  21
41.4  2.181  20

Computed X-ray powder pattern
Compound: Cs2DyCu2O4
Radiation: CuKα
Structure: a structure optimized by DFT (PBE)
Kinematic intensities with the Lorentz-polarization factor, no thermal factor.

```
9
Lattice="7.2944 -1.7840 0.0000 7.2944 1.7840 0.0000 -2.0488 0.0000 6.4789" Properties=species:S:1:pos:R:3 pbc="T T T"
Cs 1.7950 0.0000 0.4640
Cs 10.7450 0.0000 6.0150
Dy -1.0244 0.0000 3.2395
Cu 3.9849 0.0000 2.9426
Cu 8.5551 0.0000 3.5363
O 1.1920 0.0000 4.1598
O 5.4355 0.0000 4.4671
O 7.1045 0.0000 2.0118
O 11.3479 0.0000 2.3191
```

Largest 12 diffraction maxima, most intense first, 10 to 90 degrees two-theta:
2θ (°)  d_spacing  Rel. int.
37.0  2.432  100
32.1  2.786  74
27.5  3.239  58
26.6  3.348  50
25.8  3.456  50
36.6  2.457  40
40.1  2.247  35
32.7  2.739  31
25.1  3.541  29
51.6  1.772  27
38.2  2.356  26
38.8  2.318  25

Computed X-ray powder pattern
Compound: Dy6AlSe4
Radiation: CuKα
Structure: a structure optimized by DFT (PBE)
Kinematic intensities with the Lorentz-polarization factor, no thermal factor.

```
22
Lattice="2.0015 -6.7065 0.0000 2.0015 6.7065 0.0000 0.0000 0.0000 20.7659" Properties=species:S:1:pos:R:3 pbc="T T T"
Dy 0.0000 0.0000 0.0000
Dy 0.0000 0.0000 10.3829
Dy 2.0015 4.5776 15.5744
Dy 2.0015 3.0925 2.0249
Dy 2.0015 3.0925 8.3581
Dy 2.0015 0.7376 13.8238
Dy 2.0015 0.7376 17.3250
Dy 2.0015 -0.7376 3.4409
Dy 2.0015 -0.7376 6.9421
Dy 2.0015 -3.0925 12.4078
Dy 2.0015 -3.0925 18.7410
Dy 2.0015 -4.5776 5.1915
Al 2.0015 4.3766 5.1915
Al 2.0015 -4.3766 15.5744
Se 2.0015 5.5803 12.9489
Se 2.0015 5.5803 18.1998
Se 2.0015 1.9160 11.1515
Se 2.0015 1.9160 19.9973
Se 2.0015 -1.9160 0.7685
Se 2.0015 -1.9160 9.6144
Se 2.0015 -5.5803 2.5660
Se 2.0015 -5.5803 7.8169
```

Largest 12 diffraction maxima, most intense first, 10 to 90 degrees two-theta:
2θ (°)  d_spacing  Rel. int.
29.0  3.077  100
31.2  2.866  86
30.3  2.952  85
33.0  2.713  41
32.7  2.739  39
45.3  2.001  37
42.0  2.150  33
46.2  1.964  32
44.1  2.053  32
26.6  3.355  30
54.7  1.678  29
44.2  2.048  23

Computed X-ray powder pattern
Compound: Ac3YS6
Radiation: CuKα
Structure: a structure optimized by DFT (PBE)
Kinematic intensities with the Lorentz-polarization factor, no thermal factor.

```
20
Lattice="6.1711 3.5629 4.7655 -6.1711 3.5629 4.7655 0.0000 -7.1258 4.7655" Properties=species:S:1:pos:R:3 pbc="T T T"
Ac -3.1335 -3.0636 6.6596
Ac -4.2199 1.1819 7.6368
Ac 1.0864 -4.2455 7.6368
Ac -1.0864 4.2455 6.6596
Ac 4.2199 -1.1819 6.6596
Ac 3.1335 3.0636 7.6368
Y 0.0000 0.0000 0.0000
Y 0.0000 0.0000 7.1482
S -5.3836 -1.5439 7.8662
S -1.3547 -5.4343 6.4302
S -2.3819 -0.2804 5.7466
S -4.0289 3.8904 6.4302
S -0.9481 -2.2029 8.5498
S 1.4337 -1.9226 5.7466
S -1.4337 1.9226 8.5498
S 0.9481 2.2029 5.7466
S 4.0289 -3.8904 7.8662
S 2.3819 0.2804 8.5498
S 1.3547 5.4343 7.8662
S 5.3836 1.5439 6.4302
```

Largest 12 diffraction maxima, most intense first, 10 to 90 degrees two-theta:
2θ (°)  d_spacing  Rel. int.
22.9  3.888  100
25.3  3.517  45
18.6  4.765  44
33.5  2.677  41
38.6  2.333  41
23.6  3.772  36
32.7  2.738  29
43.2  2.095  21
40.6  2.223  21
44.0  2.058  18
37.2  2.417  15
17.7  5.006  14

Computed X-ray powder pattern
Compound: AcLa6Dy
Radiation: CuKα
Structure: a structure optimized by DFT (PBE)
Kinematic intensities with the Lorentz-polarization factor, no thermal factor.

```
8
Lattice="5.2855 0.0000 0.0000 0.0000 5.2855 0.0000 0.0000 0.0000 10.5711" Properties=species:S:1:pos:R:3 pbc="T T T"
Ac 0.0000 0.0000 0.0000
La 0.0000 2.6427 2.7153
La 0.0000 2.6427 7.8557
La 2.6427 0.0000 2.7153
La 2.6427 0.0000 7.8557
La 2.6427 2.6427 0.0000
La 2.6427 2.6427 5.2855
Dy 0.0000 0.0000 5.2855
```

Largest 12 diffraction maxima, most intense first, 10 to 90 degrees two-theta:
2θ (°)  d_spacing  Rel. int.
29.3  3.052  100
33.9  2.643  51
57.9  1.594  44
48.7  1.869  37
79.0  1.213  18
81.4  1.182  16
60.7  1.526  13
71.4  1.321  6
16.8  5.285  2
23.8  3.737  2
38.1  2.364  1
25.3  3.524  1

Computed X-ray powder pattern
Compound: TiCo3As
Radiation: CuKα
Structure: a structure optimized by DFT (PBE)
Kinematic intensities with the Lorentz-polarization factor, no thermal factor.

```
5
Lattice="4.2589 0.0000 0.0000 0.0000 4.2589 0.0000 0.0000 0.0000 4.2589" Properties=species:S:1:pos:R:3 pbc="T T T"
Ti 0.0000 0.0000 0.0000
Co 0.0000 2.1294 2.1294
Co 2.1294 0.0000 2.1294
Co 2.1294 2.1294 0.0000
As 2.1294 2.1294 2.1294
```

Largest 12 diffraction maxima, most intense first, 10 to 90 degrees two-theta:
2θ (°)  d_spacing  Rel. int.
42.4  2.129  100
61.6  1.506  61
20.9  4.259  57
36.5  2.459  52
47.8  1.905  25
29.7  3.011  22
77.7  1.229  20
73.8  1.284  16
65.8  1.420  12
52.6  1.739  9
81.5  1.181  5
85.3  1.138  4

Computed X-ray powder pattern
Compound: Ta2V4Si5
Radiation: CuKα
Structure: a structure optimized by DFT (PBE)
Kinematic intensities with the Lorentz-polarization factor, no thermal factor.

```
22
Lattice="-3.7730 8.1758 2.5730 3.7730 -8.1758 2.5730 3.7730 8.1758 -2.5730" Properties=species:S:1:pos:R:3 pbc="T T T"
Ta 3.7730 5.0906 -1.2865
Ta 0.0000 3.0851 1.2865
Ta 3.7730 5.0906 1.2865
Ta 0.0000 3.0851 3.8595
V 1.8717 1.0575 0.0000
V 4.6602 2.3553 0.0000
V 0.8872 5.8205 0.0000
V 1.8717 -1.0575 2.5730
V 1.9013 9.2333 0.0000
V 2.8858 2.3553 2.5730
V -0.8872 5.8205 2.5730
V 1.9013 7.1182 2.5730
Si 6.8388 0.9793 0.0000
Si 2.2942 3.4172 0.0000
Si 3.7730 0.0000 1.2865
Si 2.2942 -3.4172 2.5730
Si 3.0658 7.1964 0.0000
Si 0.7072 0.9793 2.5730
Si 1.4788 11.5930 0.0000
Si 0.0000 8.1758 1.2865
Si 1.4788 4.7586 2.5730
Si -3.0658 7.1964 2.5730
```

Largest 12 diffraction maxima, most intense first, 10 to 90 degrees two-theta:
2θ (°)  d_spacing  Rel. int.
40.6  2.223  100
10.8  8.176  95
20.1  4.418  90
39.5  2.284  53
42.5  2.126  52
26.0  3.426  46
29.8  3.000  46
12.9  6.852  37
23.6  3.773  36
46.5  1.953  35
40.4  2.230  30
40.8  2.209  27

Computed X-ray powder pattern
Compound: Ce4Ga3Pb
Radiation: CuKα
Structure: a structure optimized by DFT (PBE)
Kinematic intensities with the Lorentz-polarization factor, no thermal factor.

```
16
Lattice="4.2407 0.0000 0.0000 0.0000 4.9586 0.0000 0.0000 0.0000 18.0424" Properties=species:S:1:pos:R:3 pbc="T T T"
Ce 0.0000 0.0000 2.1928
Ce 0.0000 0.0000 15.8496
Ce 0.0000 2.4793 4.8606
Ce 0.0000 2.4793 13.1818
Ce 2.1204 0.0000 4.1606
Ce 2.1204 0.0000 13.8819
Ce 2.1204 2.4793 6.8284
Ce 2.1204 2.4793 11.2140
Ga 0.0000 0.0000 6.6219
Ga 0.0000 0.0000 11.4206
Ga 0.0000 2.4793 9.0212
Ga 2.1204 0.0000 0.0000
Ga 2.1204 2.4793 2.3994
Ga 2.1204 2.4793 15.6431
Pb 0.0000 2.4793 0.0000
Pb 2.1204 0.0000 9.0212
```

Largest 12 diffraction maxima, most intense first, 10 to 90 degrees two-theta:
2θ (°)  d_spacing  Rel. int.
34.2  2.622  100
36.2  2.479  23
63.9  1.457  17
42.6  2.120  15
72.6  1.302  13
40.0  2.255  13
23.2  3.826  13
57.2  1.611  12
55.0  1.668  10
72.0  1.311  9
59.9  1.545  8
68.9  1.363  7

Computed X-ray powder pattern
Compound: Dy3Ho6ErSc2
Radiation: CuKα
Structure: a structure optimized by DFT (PBE)
Kinematic intensities with the Lorentz-polarization factor, no thermal factor.

```
12
Lattice="3.0226 -5.2295 0.0000 3.0226 5.2295 0.0000 -2.0101 0.0000 11.3484" Properties=species:S:1:pos:R:3 pbc="T T T"
Dy 0.0000 0.0000 0.0000
Dy 3.0226 1.7448 0.0000
Dy 3.0226 -1.7448 0.0000
Ho 0.9997 1.7543 2.9020
Ho -0.0074 0.0000 8.4454
Ho 0.9997 -1.7543 2.9020
Ho 3.0354 1.7543 8.4464
Ho 4.0425 0.0000 2.9030
Ho 3.0354 -1.7543 8.4464
Er 2.0176 0.0000 5.6742
Sc 2.0176 3.4859 5.6742
Sc 2.0176 -3.4859 5.6742
```

Largest 12 diffraction maxima, most intense first, 10 to 90 degrees two-theta:
2θ (°)  d_spacing  Rel. int.
31.4  2.847  100
36.5  2.463  67
31.5  2.837  33
52.5  1.744  24
62.5  1.487  23
52.6  1.740  23
62.5  1.486  18
62.6  1.483  13
65.6  1.423  12
88.9  1.101  10
85.9  1.131  8
88.7  1.103  7

Computed X-ray powder pattern
Compound: NaCa2Pb4
Radiation: CuKα
Structure: a structure optimized by DFT (PBE)
Kinematic intensities with the Lorentz-polarization factor, no thermal factor.

```
14
Lattice="5.9041 0.0000 0.0000 0.0000 5.9041 0.0000 0.0000 0.0000 13.2795" Properties=species:S:1:pos:R:3 pbc="T T T"
Na 0.0000 0.0000 0.0000
Na 2.9521 2.9521 6.6397
Ca 0.0000 0.0000 4.8230
Ca 0.0000 0.0000 8.4565
Ca 2.9521 2.9521 1.8168
Ca 2.9521 2.9521 11.4627
Pb 0.0000 2.9521 0.0000
Pb 0.0000 2.9521 3.3199
Pb 0.0000 2.9521 6.6397
Pb 0.0000 2.9521 9.9596
Pb 2.9521 0.0000 0.0000
Pb 2.9521 0.0000 3.3199
Pb 2.9521 0.0000 6.6397
Pb 2.9521 0.0000 9.9596
```

Largest 12 diffraction maxima, most intense first, 10 to 90 degrees two-theta:
2θ (°)  d_spacing  Rel. int.
21.3  4.175  100
34.5  2.598  94
30.3  2.952  75
56.6  1.627  47
40.9  2.206  46
26.9  3.320  34
43.3  2.087  28
48.8  1.867  24
51.7  1.767  24
64.4  1.447  17
77.9  1.227  15
76.8  1.241  14